# Ho2AlNi2
Calculated powder diffraction line list, Cu Kα X-rays. Input: a crystal structure in the Materials Project, relaxed with PBE.
Neutral-atom scattering factors, no anomalous dispersion.

Atomic structure:
```
5
Lattice="-2.034 2.741 4.179 2.034 -2.741 4.179 2.034 2.741 -4.179" Properties=species:S:1:pos:R:3 pbc="T T T"
Ho 0.000 0.000 1.713
Ho 0.000 0.000 6.645
Al 0.000 2.741 0.000
Ni 2.034 1.241 0.000
Ni 0.000 1.500 4.179
```

Most intense lines, 5 to 70 degrees two-theta, low angle first:
2θ/deg, I/Imax
27.30, 71
34.86, 100
36.17, 28
39.19, 43
39.31, 48
41.16, 36
44.55, 28
59.76, 18
60.90, 26
69.84, 28